(1)
Calculated powder diffractogram of Sr2CrCuSO3 for copper Kα, from a DFT-relaxed cell (PBE+U, the Materials Project).

Cell and atoms:
```
data_Sr2CrCuSO3
_cell_length_a 3.9447
_cell_length_b 3.9447
_cell_length_c 15.6216
_cell_angle_alpha 90.00
_cell_angle_beta 90.00
_cell_angle_gamma 90.00
_space_group_name_H-M_alt 'P 4/n m m'
_space_group_IT_number 129
loop_
_space_group_symop_operation_xyz
'x,y,z'
'-x,-y,-z'
'-y+1/2,x,z'
'y+1/2,-x,-z'
'-x+1/2,-y+1/2,z'
'x+1/2,y+1/2,-z'
'y,-x+1/2,z'
'-y,x+1/2,-z'
'x+1/2,-y,-z'
'-x+1/2,y,z'
'-y,-x,-z'
'y,x,z'
'-x,y+1/2,-z'
'x,-y+1/2,z'
'y+1/2,x+1/2,-z'
'-y+1/2,-x+1/2,z'
loop_
_atom_site_label
_atom_site_type_symbol
_atom_site_fract_x
_atom_site_fract_y
_atom_site_fract_z
_atom_site_occupancy
Sr1 Sr 0.2500 0.2500 0.0868 1
Sr2 Sr 0.2500 0.2500 0.3140 1
Cr1 Cr 0.2500 0.2500 0.8084 1
Cu1 Cu 0.2500 0.7500 0.5000 1
S1 S 0.2500 0.2500 0.5905 1
O1 O 0.2500 0.2500 0.9313 1
O2 O 0.2500 0.7500 0.2100 1
```

Main lines, in order of rising 2θ (2θ = 10–90°):
2θ 32.09, d = 2.789 Å, rel. 32, hkl 1 1 0; 2θ 32.25, d = 2.775 Å, rel. 100, hkl 1 0 4; 2θ 32.61, d = 2.746 Å, rel. 23, hkl 1 1 1; 2θ 36.54, d = 2.459 Å, rel. 24, hkl 1 1 3; 2θ 39.71, d = 2.270 Å, rel. 28, hkl 1 1 4; 2θ 41.56, d = 2.173 Å, rel. 17, hkl 1 0 6; 2θ 46.02, d = 1.972 Å, rel. 52, hkl 2 0 0; 2θ 57.31, d = 1.608 Å, rel. 37, hkl 2 1 4; 2θ 57.62, d = 1.600 Å, rel. 22, hkl 1 1 8; 2θ 67.11, d = 1.395 Å, rel. 15, hkl 2 2 0

---

(2)
Calculated powder diffractogram of Sr2YCrCu2O7 for copper Kα, from a DFT-relaxed cell (PBE+U, the Materials Project).

Cell and atoms:
```
data_Sr2YCrCu2O7
_cell_length_a 5.4844
_cell_length_b 5.5734
_cell_length_c 12.2549
_cell_angle_alpha 103.02
_cell_angle_beta 102.75
_cell_angle_gamma 90.62
_space_group_name_H-M_alt 'P 1'
_space_group_IT_number 1
_space_group_name_Hall 'P 1'
loop_
_atom_site_label
_atom_site_type_symbol
_atom_site_fract_x
_atom_site_fract_y
_atom_site_fract_z
_atom_site_occupancy
Sr1 Sr 0.0000 0.0000 0.0000 1
Sr2 Sr 0.2053 0.2055 0.4125 1
Sr3 Sr 0.4969 0.5387 0.9997 1
Sr4 Sr 0.7032 0.7443 0.4128 1
Y1 Y 0.3474 0.3720 0.7065 1
Y2 Y 0.8473 0.8721 0.7062 1
Cr1 Cr 0.1364 0.5464 0.2064 1
Cr2 Cr 0.6403 0.1860 0.2062 1
Cu1 Cu 0.2812 0.8053 0.5768 1
Cu2 Cu 0.4128 0.9399 0.8389 1
Cu3 Cu 0.7798 0.3073 0.5737 1
Cu4 Cu 0.9110 0.4351 0.8358 1
O1 O 0.0125 0.2369 0.2065 1
O2 O 0.0184 0.5712 0.5775 1
O3 O 0.0454 0.0704 0.5812 1
O4 O 0.1271 0.7401 0.3426 1
O5 O 0.1481 0.1754 0.8363 1
O6 O 0.1703 0.6718 0.8317 1
O7 O 0.4683 0.5027 0.2061 1
O8 O 0.5023 0.0036 0.0601 1
O9 O 0.5176 0.5448 0.5761 1
O10 O 0.5450 0.0460 0.5809 1
O11 O 0.6478 0.2002 0.8352 1
O12 O 0.6524 0.1482 0.3524 1
O13 O 0.6708 0.6956 0.8315 1
O14 O 0.9895 0.6059 0.0709 1
```

Main lines, in order of rising 2θ (2θ = 10–90°):
2θ 32.12, d = 2.787 Å, rel. 41, hkl 0 2 -1; 2θ 32.45, d = 2.759 Å, rel. 57, hkl -1 1 3; 2θ 32.64, d = 2.743 Å, rel. 100, hkl 2 0 -1; 2θ 38.53, d = 2.336 Å, rel. 28, hkl 1 -1 4; 2θ 38.70, d = 2.327 Å, rel. 38, hkl 1 1 -5; 2θ 46.19, d = 1.965 Å, rel. 24, hkl 2 -2 0; 2θ 46.73, d = 1.944 Å, rel. 23, hkl 2 2 -2; 2θ 58.03, d = 1.589 Å, rel. 14, hkl 3 -1 2; 2θ 58.37, d = 1.581 Å, rel. 14, hkl 3 1 1; 2θ 61.80, d = 1.501 Å, rel. 10, hkl 1 3 -6

---

(3)
Calculated powder diffractogram of Sr2YCrCu2O8 for copper Kα, from a DFT-relaxed cell (PBE+U, the Materials Project).

Cell and atoms:
```
data_Sr2YCrCu2O8
_cell_length_a 11.4466
_cell_length_b 5.4479
_cell_length_c 5.4644
_cell_angle_alpha 90.00
_cell_angle_beta 90.00
_cell_angle_gamma 90.00
_space_group_name_H-M_alt 'A m m 2'
_space_group_IT_number 38
_space_group_name_Hall 'A 2 -2'
loop_
_atom_site_label
_atom_site_type_symbol
_atom_site_fract_x
_atom_site_fract_y
_atom_site_fract_z
_atom_site_occupancy
Sr1 Sr 0.1727 0.0000 0.0000 1
Y1 Y 0.5000 0.0000 0.9903 1
Cr1 Cr 0.0000 0.0000 0.5233 1
Cu1 Cu 0.3488 0.0000 0.4911 1
O1 O 0.0000 0.2430 0.7594 1
O2 O 0.1628 0.0000 0.4858 1
O3 O 0.3746 0.2502 0.2408 1
```

Main lines, in order of rising 2θ (2θ = 10–90°):
2θ 32.78, d = 2.732 Å, rel. 22, hkl 0 0 2; 2θ 32.88, d = 2.724 Å, rel. 22, hkl 0 2 0; 2θ 33.02, d = 2.713 Å, rel. 100, hkl 3 1 1; 2θ 40.65, d = 2.219 Å, rel. 12, hkl 3 0 2; 2θ 47.11, d = 1.929 Å, rel. 34, hkl 0 2 2; 2θ 47.67, d = 1.908 Å, rel. 12, hkl 6 0 0; 2θ 58.67, d = 1.574 Å, rel. 18, hkl 3 1 3; 2θ 58.79, d = 1.571 Å, rel. 18, hkl 3 3 1; 2θ 59.09, d = 1.563 Å, rel. 19, hkl 6 2 0; 2θ 69.27, d = 1.356 Å, rel. 14, hkl 6 2 2

---

(4)
Calculated powder diffractogram of CrCuW2O8 for copper Kα, from a DFT-relaxed cell (PBE+U, the Materials Project).

Cell and atoms:
```
data_CrCuW2O8
_cell_length_a 5.0467
_cell_length_b 7.4281
_cell_length_c 7.4290
_cell_angle_alpha 101.61
_cell_angle_beta 90.53
_cell_angle_gamma 90.54
_space_group_name_H-M_alt 'P -1'
_space_group_IT_number 2
_space_group_name_Hall '-P 1'
loop_
_atom_site_label
_atom_site_type_symbol
_atom_site_fract_x
_atom_site_fract_y
_atom_site_fract_z
_atom_site_occupancy
Cr1 Cr 0.2495 0.1759 0.3240 1
Cu1 Cu 0.2512 0.6637 0.8363 1
W1 W 0.2448 0.6651 0.3370 1
W2 W 0.2552 0.1630 0.8348 1
O1 O 0.0606 0.6943 0.0945 1
O2 O 0.0805 0.1965 0.5762 1
O3 O 0.0857 0.9362 0.7986 1
O4 O 0.1093 0.4289 0.3158 1
O5 O 0.3903 0.1843 0.0712 1
O6 O 0.4147 0.7015 0.5637 1
O7 O 0.4194 0.9238 0.3035 1
O8 O 0.4394 0.4055 0.8058 1
```

Main lines, in order of rising 2θ (2θ = 10–90°):
2θ 18.91, d = 4.694 Å, rel. 52, hkl 0 1 1; 2θ 23.44, d = 3.795 Å, rel. 52, hkl 1 1 -1; 2θ 24.47, d = 3.638 Å, rel. 60, hkl 0 2 0; 2θ 30.12, d = 2.967 Å, rel. 100, hkl 1 -2 0; 2θ 30.45, d = 2.935 Å, rel. 96, hkl 1 2 0; 2θ 35.58, d = 2.523 Å, rel. 32, hkl 2 0 0; 2θ 35.92, d = 2.500 Å, rel. 42, hkl 1 2 -2; 2θ 51.44, d = 1.776 Å, rel. 30, hkl 0 4 -2; 2θ 53.75, d = 1.705 Å, rel. 40, hkl 2 2 2; 2θ 64.13, d = 1.452 Å, rel. 28, hkl 3 2 -2

---

(5)
Calculated powder diffractogram of ZnCr4Cu3O12 for copper Kα, from a DFT-relaxed cell (PBE+U, the Materials Project).

Cell and atoms:
```
data_ZnCr4Cu3O12
_cell_length_a 10.3979
_cell_length_b 10.3979
_cell_length_c 6.3518
_cell_angle_alpha 90.00
_cell_angle_beta 90.00
_cell_angle_gamma 120.00
_space_group_name_H-M_alt 'R -3'
_space_group_IT_number 148
_space_group_name_Hall '-R 3'
loop_
_atom_site_label
_atom_site_type_symbol
_atom_site_fract_x
_atom_site_fract_y
_atom_site_fract_z
_atom_site_occupancy
Zn1 Zn 0.0000 0.0000 0.0000 1
Cr1 Cr 0.0000 0.0000 0.5000 1
Cr2 Cr 0.0000 0.5000 0.5000 1
Cu1 Cu 0.0000 0.5000 0.0000 1
O1 O 0.0098 0.8495 0.6813 1
O2 O 0.0469 0.7836 0.0941 1
```

Main lines, in order of rising 2θ (2θ = 10–90°):
2θ 34.53, d = 2.597 Å, rel. 100, hkl 2 2 0; 2θ 38.76, d = 2.323 Å, rel. 6, hkl 1 2 2; 2θ 42.63, d = 2.121 Å, rel. 4, hkl 4 0 1; 2θ 46.22, d = 1.964 Å, rel. 3, hkl 4 1 0; 2θ 49.64, d = 1.837 Å, rel. 25, hkl 0 4 2; 2θ 61.84, d = 1.500 Å, rel. 36, hkl 6 -2 2; 2θ 61.97, d = 1.498 Å, rel. 12, hkl 0 2 4; 2θ 72.76, d = 1.300 Å, rel. 6, hkl 4 4 0; 2θ 72.90, d = 1.298 Å, rel. 6, hkl 4 0 4; 2θ 83.16, d = 1.162 Å, rel. 15, hkl 2 6 2

---

(6)
Calculated powder diffractogram of EuDyCr4O12 for copper Kα, from a DFT-relaxed cell (PBE+U, the Materials Project).

Cell and atoms:
```
data_EuDyCr4O12
_cell_length_a 7.4424
_cell_length_b 7.3072
_cell_length_c 7.4136
_cell_angle_alpha 90.00
_cell_angle_beta 90.00
_cell_angle_gamma 90.00
_space_group_name_H-M_alt 'A m m 2'
_space_group_IT_number 38
_space_group_name_Hall 'A 2 -2'
loop_
_atom_site_label
_atom_site_type_symbol
_atom_site_fract_x
_atom_site_fract_y
_atom_site_fract_z
_atom_site_occupancy
Eu1 Eu 0.0000 0.0000 0.0000 1
Dy1 Dy 0.5000 0.0000 0.4856 1
Cr1 Cr 0.2498 0.2494 0.7426 1
O1 O 0.0000 0.2236 0.7422 1
O2 O 0.2248 0.0000 0.2684 1
O3 O 0.2491 0.2240 0.9924 1
O4 O 0.2791 0.0000 0.7135 1
O5 O 0.5000 0.2226 0.2464 1
```

Main lines, in order of rising 2θ (2θ = 10–90°):
2θ 20.83, d = 4.265 Å, rel. 100, hkl 1 1 1; 2θ 34.14, d = 2.626 Å, rel. 31, hkl 2 0 2; 2θ 34.43, d = 2.605 Å, rel. 63, hkl 2 2 0; 2θ 40.27, d = 2.239 Å, rel. 19, hkl 3 1 1; 2θ 40.39, d = 2.233 Å, rel. 18, hkl 1 1 3; 2θ 40.84, d = 2.210 Å, rel. 18, hkl 1 3 1; 2θ 42.39, d = 2.132 Å, rel. 12, hkl 2 2 2; 2θ 48.96, d = 1.861 Å, rel. 12, hkl 4 0 0; 2θ 54.25, d = 1.691 Å, rel. 15, hkl 3 3 1; 2θ 61.24, d = 1.513 Å, rel. 12, hkl 4 2 2

---

(7)
Calculated powder diffractogram of SrEuDyCrO6 for copper Kα, from a DFT-relaxed cell (PBE+U, the Materials Project).

Cell and atoms:
```
data_SrEuDyCrO6
_cell_length_a 8.1288
_cell_length_b 8.1288
_cell_length_c 8.1288
_cell_angle_alpha 90.00
_cell_angle_beta 90.00
_cell_angle_gamma 90.00
_space_group_name_H-M_alt 'F -4 3 m'
_space_group_IT_number 216
_space_group_name_Hall 'F -4 2 3'
loop_
_atom_site_label
_atom_site_type_symbol
_atom_site_fract_x
_atom_site_fract_y
_atom_site_fract_z
_atom_site_occupancy
Sr1 Sr 0.0000 0.0000 0.0000 1
Eu1 Eu 0.0000 0.0000 0.5000 1
Dy1 Dy 0.2500 0.2500 0.7500 1
Cr1 Cr 0.2500 0.2500 0.2500 1
O1 O 0.0166 0.2500 0.2500 1
```

Main lines, in order of rising 2θ (2θ = 10–90°):
2θ 18.91, d = 4.693 Å, rel. 16, hkl 1 1 1; 2θ 31.12, d = 2.874 Å, rel. 100, hkl 2 2 0; 2θ 36.67, d = 2.451 Å, rel. 12, hkl 3 1 1; 2θ 44.59, d = 2.032 Å, rel. 31, hkl 4 0 0; 2θ 48.84, d = 1.865 Å, rel. 6, hkl 3 3 1; 2θ 55.37, d = 1.659 Å, rel. 39, hkl 4 2 2; 2θ 59.05, d = 1.564 Å, rel. 4, hkl 3 3 3; 2θ 64.89, d = 1.437 Å, rel. 18, hkl 4 4 0; 2θ 73.71, d = 1.285 Å, rel. 17, hkl 6 2 0; 2θ 82.15, d = 1.173 Å, rel. 6, hkl 4 4 4

---

(8)
Calculated powder diffractogram of DyCrGeO5 for copper Kα, from a DFT-relaxed cell (PBE+U, the Materials Project).

Cell and atoms:
```
data_DyCrGeO5
_cell_length_a 7.4533
_cell_length_b 8.4864
_cell_length_c 5.8111
_cell_angle_alpha 90.00
_cell_angle_beta 90.00
_cell_angle_gamma 90.00
_space_group_name_H-M_alt 'P b a m'
_space_group_IT_number 55
_space_group_name_Hall '-P 2 2ab'
loop_
_atom_site_label
_atom_site_type_symbol
_atom_site_fract_x
_atom_site_fract_y
_atom_site_fract_z
_atom_site_occupancy
Dy1 Dy 0.1434 0.1734 0.0000 1
Cr1 Cr 0.0000 0.5000 0.2504 1
Ge1 Ge 0.1171 0.8555 0.5000 1
O1 O 0.0000 0.0000 0.2880 1
O2 O 0.1117 0.7174 0.2499 1
O3 O 0.1565 0.4182 0.5000 1
O4 O 0.1685 0.4424 0.0000 1
```

Main lines, in order of rising 2θ (2θ = 10–90°):
2θ 15.25, d = 5.811 Å, rel. 21, hkl 0 0 1; 2θ 28.67, d = 3.114 Å, rel. 73, hkl 1 2 1; 2θ 30.38, d = 2.942 Å, rel. 100, hkl 2 1 1; 2θ 30.77, d = 2.906 Å, rel. 17, hkl 0 0 2; 2θ 33.89, d = 2.645 Å, rel. 31, hkl 1 3 0; 2θ 34.78, d = 2.579 Å, rel. 22, hkl 1 1 2; 2θ 40.79, d = 2.212 Å, rel. 18, hkl 2 1 2; 2θ 53.45, d = 1.714 Å, rel. 25, hkl 0 4 2; 2θ 54.47, d = 1.685 Å, rel. 19, hkl 2 1 3; 2θ 58.83, d = 1.570 Å, rel. 37, hkl 4 0 2

---

(9)
Calculated powder diffractogram of Dy2MgCr2O8 for copper Kα, from a DFT-relaxed cell (PBE+U, the Materials Project).

Cell and atoms:
```
data_Dy2MgCr2O8
_cell_length_a 6.3810
_cell_length_b 10.3124
_cell_length_c 6.1975
_cell_angle_alpha 90.00
_cell_angle_beta 120.90
_cell_angle_gamma 90.00
_space_group_name_H-M_alt 'C 1 2 1'
_space_group_IT_number 5
_space_group_name_Hall 'C 2y'
loop_
_atom_site_label
_atom_site_type_symbol
_atom_site_fract_x
_atom_site_fract_y
_atom_site_fract_z
_atom_site_occupancy
Dy1 Dy 0.0000 0.0000 0.0000 1
Dy2 Dy 0.0000 0.2207 0.5000 1
Mg1 Mg 0.0000 0.5094 0.5000 1
Cr1 Cr 0.0000 0.4980 0.0000 1
Cr2 Cr 0.0000 0.7742 0.5000 1
O1 O 0.0809 0.4077 0.8024 1
O2 O 0.1170 0.8570 0.3348 1
O3 O 0.2232 0.0876 0.8253 1
O4 O 0.2468 0.6503 0.6581 1
```

Main lines, in order of rising 2θ (2θ = 10–90°):
2θ 18.35, d = 4.834 Å, rel. 45, hkl 1 1 0; 2θ 24.04, d = 3.702 Å, rel. 100, hkl 0 2 1; 2θ 30.72, d = 2.910 Å, rel. 16, hkl 1 3 -1; 2θ 32.73, d = 2.736 Å, rel. 45, hkl 2 0 -2; 2θ 33.02, d = 2.713 Å, rel. 34, hkl 2 2 -1; 2θ 33.71, d = 2.659 Å, rel. 17, hkl 0 0 2; 2θ 39.13, d = 2.302 Å, rel. 22, hkl 1 3 1; 2θ 47.90, d = 1.899 Å, rel. 30, hkl 2 2 -3; 2θ 48.52, d = 1.876 Å, rel. 33, hkl 2 4 0; 2θ 49.23, d = 1.851 Å, rel. 17, hkl 0 4 2

---

(10)
Calculated powder diffractogram of DyCrO4 for copper Kα, from a DFT-relaxed cell (PBE+U, the Materials Project).

Cell and atoms:
```
data_DyCrO4
_cell_length_a 7.2142
_cell_length_b 7.2142
_cell_length_c 6.2903
_cell_angle_alpha 90.00
_cell_angle_beta 90.00
_cell_angle_gamma 90.00
_space_group_name_H-M_alt 'I 41/a m d'
_space_group_IT_number 141
loop_
_space_group_symop_operation_xyz
'x,y,z'
'-x,-y,-z'
'-y+1/4,x+3/4,z+1/4'
'y+1/4,-x+3/4,-z+1/4'
'-x+1/2,-y,z+1/2'
'x+1/2,y,-z+1/2'
'y+1/4,-x+1/4,z+3/4'
'-y+1/4,x+1/4,-z+3/4'
'x,-y,-z'
'-x,y,z'
'-y+1/4,-x+1/4,-z+3/4'
'y+1/4,x+1/4,z+3/4'
'-x+1/2,y,-z+1/2'
'x+1/2,-y,z+1/2'
'y+1/4,x+3/4,-z+1/4'
'-y+1/4,-x+3/4,z+1/4'
'x+1/2,y+1/2,z+1/2'
'-x+1/2,-y+1/2,-z+1/2'
'-y+3/4,x+1/4,z+3/4'
'y+3/4,-x+1/4,-z+3/4'
'-x,-y+1/2,z'
'x,y+1/2,-z'
'y+3/4,-x+3/4,z+1/4'
'-y+3/4,x+3/4,-z+1/4'
'x+1/2,-y+1/2,-z+1/2'
'-x+1/2,y+1/2,z+1/2'
'-y+3/4,-x+3/4,-z+1/4'
'y+3/4,x+3/4,z+1/4'
'-x,y+1/2,-z'
'x,-y+1/2,z'
'y+3/4,x+1/4,-z+3/4'
'-y+3/4,-x+1/4,z+3/4'
loop_
_atom_site_label
_atom_site_type_symbol
_atom_site_fract_x
_atom_site_fract_y
_atom_site_fract_z
_atom_site_occupancy
Dy1 Dy 0.0000 0.2500 0.3750 1
Cr1 Cr 0.0000 0.2500 0.8750 1
O1 O 0.0000 0.0659 0.7003 1
```

Main lines, in order of rising 2θ (2θ = 10–90°):
2θ 18.72, d = 4.741 Å, rel. 37, hkl 1 0 1; 2θ 24.68, d = 3.607 Å, rel. 100, hkl 2 0 0; 2θ 33.47, d = 2.677 Å, rel. 70, hkl 1 1 2; 2θ 35.19, d = 2.551 Å, rel. 22, hkl 2 2 0; 2θ 40.15, d = 2.246 Å, rel. 14, hkl 3 0 1; 2θ 49.35, d = 1.847 Å, rel. 58, hkl 3 1 2; 2θ 50.61, d = 1.804 Å, rel. 16, hkl 4 0 0; 2θ 57.10, d = 1.613 Å, rel. 14, hkl 4 2 0; 2θ 62.05, d = 1.496 Å, rel. 17, hkl 3 3 2; 2θ 73.38, d = 1.290 Å, rel. 13, hkl 5 1 2

---

(11)
Calculated powder diffractogram of DyCr2O2 for copper Kα, from a DFT-relaxed cell (PBE+U, the Materials Project).

Cell and atoms:
```
data_DyCr2O2
_cell_length_a 9.0158
_cell_length_b 9.0158
_cell_length_c 9.2999
_cell_angle_alpha 90.00
_cell_angle_beta 90.00
_cell_angle_gamma 90.00
_space_group_name_H-M_alt 'I 41/a m d'
_space_group_IT_number 141
loop_
_space_group_symop_operation_xyz
'x,y,z'
'-x,-y,-z'
'-y+1/4,x+3/4,z+1/4'
'y+1/4,-x+3/4,-z+1/4'
'-x+1/2,-y,z+1/2'
'x+1/2,y,-z+1/2'
'y+1/4,-x+1/4,z+3/4'
'-y+1/4,x+1/4,-z+3/4'
'x,-y,-z'
'-x,y,z'
'-y+1/4,-x+1/4,-z+3/4'
'y+1/4,x+1/4,z+3/4'
'-x+1/2,y,-z+1/2'
'x+1/2,-y,z+1/2'
'y+1/4,x+3/4,-z+1/4'
'-y+1/4,-x+3/4,z+1/4'
'x+1/2,y+1/2,z+1/2'
'-x+1/2,-y+1/2,-z+1/2'
'-y+3/4,x+1/4,z+3/4'
'y+3/4,-x+1/4,-z+3/4'
'-x,-y+1/2,z'
'x,y+1/2,-z'
'y+3/4,-x+3/4,z+1/4'
'-y+3/4,x+3/4,-z+1/4'
'x+1/2,-y+1/2,-z+1/2'
'-x+1/2,y+1/2,z+1/2'
'-y+3/4,-x+3/4,-z+1/4'
'y+3/4,x+3/4,z+1/4'
'-x,y+1/2,-z'
'x,-y+1/2,z'
'y+3/4,x+1/4,-z+3/4'
'-y+3/4,-x+1/4,z+3/4'
loop_
_atom_site_label
_atom_site_type_symbol
_atom_site_fract_x
_atom_site_fract_y
_atom_site_fract_z
_atom_site_occupancy
Dy1 Dy 0.0000 0.0000 0.0000 1
Cr1 Cr 0.0000 0.0656 0.6351 1
O1 O 0.0000 0.0950 0.2123 1
```

Main lines, in order of rising 2θ (2θ = 10–90°):
2θ 13.68, d = 6.473 Å, rel. 50, hkl 1 0 1; 2θ 24.06, d = 3.699 Å, rel. 24, hkl 2 1 1; 2θ 27.56, d = 3.237 Å, rel. 54, hkl 2 0 2; 2θ 27.99, d = 3.188 Å, rel. 100, hkl 2 2 0; 2θ 30.49, d = 2.932 Å, rel. 23, hkl 1 0 3; 2θ 36.56, d = 2.458 Å, rel. 51, hkl 2 1 3; 2θ 37.24, d = 2.415 Å, rel. 20, hkl 3 2 1; 2θ 40.00, d = 2.254 Å, rel. 29, hkl 4 0 0; 2θ 41.87, d = 2.158 Å, rel. 26, hkl 3 0 3; 2θ 49.26, d = 1.850 Å, rel. 36, hkl 4 2 2